Computed powder X-ray diffraction pattern of CsBa2Ni2F9 for λ = 1.5418 Å (Cu Kα), from a structure optimized by DFT (GGA+U).
Neutral-atom scattering factors, no anomalous dispersion.

Structure:
```
data_CsBa2Ni2F9
_space_group_name_H-M_alt 'R 3 m'
_space_group_IT_number 160
_space_group_name_Hall 'R 3 -2"'
_cell_length_a 5.9314
_cell_length_b 5.9314
_cell_length_c 21.5312
_cell_angle_alpha 90.00
_cell_angle_beta 90.00
_cell_angle_gamma 120.00
loop_
_atom_site_label
_atom_site_type_symbol
_atom_site_fract_x
_atom_site_fract_y
_atom_site_fract_z
Cs1 Cs 0.0000 0.0000 0.0000
Ba1 Ba 0.0000 0.0000 0.2144
Ba2 Ba 0.0000 0.0000 0.4196
Ni1 Ni 0.0000 0.0000 0.6056
Ni2 Ni 0.0000 0.0000 0.8256
F1 F 0.0003 0.5001 0.4464
F2 F 0.0059 0.5030 0.9838
F3 F 0.0126 0.5063 0.2111
```

Peak list (12 most intense, 10° ≤ 2θ ≤ 90°, low angle first)
| hkl | Position (°2θ) | d/Å | I/Imax |
| --- | --- | --- | --- |
| 0 1 5 | 27.0 | 3.300 | 100 |
| 1 1 0 | 30.1 | 2.966 | 77 |
| 0 2 4 | 38.9 | 2.318 | 17 |
| 2 0 5 | 40.9 | 2.206 | 60 |
| 1 0 10 | 45.7 | 1.986 | 22 |
| 1 2 5 | 51.6 | 1.770 | 34 |
| 3 0 0 | 53.5 | 1.712 | 15 |
| 0 2 10 | 55.7 | 1.650 | 13 |
| 2 2 0 | 62.6 | 1.483 | 19 |
| 2 1 10 | 64.6 | 1.442 | 15 |
| 3 1 5 | 69.5 | 1.353 | 14 |
| 0 4 5 | 77.6 | 1.231 | 9 |